Structure and theoretical powder diffractogram of RbAlCdF6 (a DFT-relaxed cell (PBE, Alexandria); λ = 1.5418 Å (Cu Kα)).

Principal peaks in the range 15 to 90 degrees two-theta, sorted by position:
24.3°, d = 3.659 Å, intensity 42; 27.8°, d = 3.206 Å, intensity 100; 28.5°, d = 3.134 Å, intensity 34; 29.0°, d = 3.084 Å, intensity 29; 30.1°, d = 2.969 Å, intensity 32; 49.7°, d = 1.833 Å, intensity 44

Lattice parameters (Å, degrees): 7.3397 7.3397 7.3397 120.33 117.49 91.92
Atoms (fractional coordinates):
Rb (0.3523, 0.1023, 0.2500)
Rb (0.6477, 0.8977, 0.7500)
Al (0.0000, 0.0000, 0.5000)
Al (0.0000, 0.5000, 0.0000)
Cd (0.0000, 0.5000, 0.5000)
Cd (0.5000, 0.5000, 0.0000)
F (0.0058, 0.2558, 0.7500)
F (0.0420, 0.3700, 0.1650)
F (0.0420, 0.8770, 0.6720)
F (0.2949, 0.1230, 0.6650)
F (0.2949, 0.6300, 0.1720)
F (0.3593, 0.6093, 0.7500)
F (0.6407, 0.3907, 0.2500)
F (0.7051, 0.3700, 0.8280)
F (0.7051, 0.8770, 0.3350)
F (0.9580, 0.1230, 0.3280)
F (0.9580, 0.6300, 0.8350)
F (0.9942, 0.7442, 0.2500)